Ac2ErTmS6: calculated X-ray powder pattern (Cu Kα X-rays), based on a crystal structure in Alexandria, relaxed with GGA-PBE.

Largest 6 diffraction maxima, sorted by position, 2θ = 10–80°:
- d = 4.535 Å, rel. 20, hkl 1 1 0
- d = 3.576 Å, rel. 100, hkl 1 1 1
- d = 3.454 Å, rel. 24, hkl 2 0 -2
- d = 2.539 Å, rel. 17, hkl 2 2 -2
- d = 2.288 Å, rel. 19, hkl 1 3 -2
- d = 2.017 Å, rel. 27, hkl 3 1 -5

a = 6.9083 Å, b = 7.4926 Å, c = 12.2087 Å
α = 90.00°, β = 124.42°, γ = 90.00°
Space group P2_1/c (No. 14)
Asymmetric unit:
Ac1 0.2201 0.0867 0.2499
Er1 0.5000 0.0000 0.0000
Tm1 0.0000 0.0000 0.5000
S1 0.1226 0.1919 0.9384
S2 0.2531 0.6909 0.9385
S3 0.3719 0.0397 0.7494

***

Ba3Ac2Ag2Hg4: calculated X-ray powder pattern (Cu Kα X-rays), based on a crystal structure in Alexandria, relaxed with GGA-PBE.

Largest 6 diffraction maxima, sorted by position, 2θ = 10–80°:
- d = 3.208 Å, rel. 100, hkl 0 1 4
- d = 2.871 Å, rel. 37, hkl 1 0 5
- d = 2.478 Å, rel. 80, hkl 1 1 0
- d = 1.961 Å, rel. 27, hkl 2 0 4
- d = 1.622 Å, rel. 33, hkl 1 1 9
- d = 1.538 Å, rel. 23, hkl 1 2 4

a = 4.9552 Å, b = 4.9552 Å, c = 19.3104 Å
α = 90.00°, β = 90.00°, γ = 120.00°
Space group P-3m1 (No. 164)
Asymmetric unit:
Ba1 0.0000 0.0000 0.0000
Ba2 0.0000 0.0000 0.2290
Ac1 0.3333 0.6667 0.5731
Ag1 0.3333 0.6667 0.1134
Hg1 0.3333 0.6667 0.3433
Hg2 0.3333 0.6667 0.8859

***

Ce2ScNi: calculated X-ray powder pattern (Cu Kα X-rays), based on a crystal structure in Alexandria, relaxed with GGA-PBE.

Largest 6 diffraction maxima, sorted by position, 2θ = 10–80°:
- d = 7.445 Å, rel. 36, hkl 0 0 1
- d = 3.559 Å, rel. 30, hkl 1 0 0
- d = 2.572 Å, rel. 100, hkl 1 0 2
- d = 2.516 Å, rel. 65, hkl 1 1 0
- d = 2.036 Å, rel. 30, hkl 1 0 3
- d = 1.463 Å, rel. 33, hkl 2 1 2

a = 3.5588 Å, b = 3.5588 Å, c = 7.4447 Å
α = 90.00°, β = 90.00°, γ = 90.00°
Space group P4/mmm (No. 123)
Asymmetric unit:
Ce1 0.0000 0.0000 0.1971
Sc1 0.5000 0.5000 0.5000
Ni1 0.5000 0.5000 0.0000

***

TmB4W2: calculated X-ray powder pattern (Cu Kα X-rays), based on a crystal structure in Alexandria, relaxed with GGA-PBE.

Largest 6 diffraction maxima, sorted by position, 2θ = 10–80°:
- d = 6.288 Å, rel. 68, hkl 2 0 0
- d = 3.144 Å, rel. 68, hkl 4 0 0
- d = 2.398 Å, rel. 76, hkl 2 0 2
- d = 2.284 Å, rel. 100, hkl 3 1 -2
- d = 2.196 Å, rel. 58, hkl 5 1 0
- d = 2.119 Å, rel. 83, hkl 2 2 0

a = 12.9085 Å, b = 4.5019 Å, c = 5.8464 Å
α = 90.00°, β = 103.04°, γ = 90.00°
Space group C2/c (No. 15)
Asymmetric unit:
Tm1 0.0000 0.2306 0.2500
B1 0.1151 0.2924 0.8093
B2 0.1453 0.4990 0.5742
W1 0.2151 0.0063 0.6057

***

HPd8Au6: calculated X-ray powder pattern (Cu Kα X-rays), based on a crystal structure in Alexandria, relaxed with GGA-PBE.

Largest 6 diffraction maxima, sorted by position, 2θ = 10–80°:
- d = 2.469 Å, rel. 25, hkl 2 1 0
- d = 2.371 Å, rel. 28, hkl 0 0 2
- d = 2.190 Å, rel. 100, hkl 3 -2 1
- d = 1.425 Å, rel. 17, hkl 1 4 0
- d = 1.331 Å, rel. 20, hkl 3 -2 3
- d = 1.222 Å, rel. 21, hkl 1 4 2

a = 7.5417 Å, b = 7.5417 Å, c = 4.7428 Å
α = 90.00°, β = 90.00°, γ = 120.00°
Space group P-3 (No. 147)
Asymmetric unit:
H1 0.0000 0.0000 0.0000
Pd1 0.0481 0.2372 0.2507
Pd2 0.3333 0.6667 0.2497
Au1 0.0936 0.4722 0.7490

***

Ho3Er6In: calculated X-ray powder pattern (Cu Kα X-rays), based on a crystal structure in Alexandria, relaxed with GGA-PBE.

Largest 6 diffraction maxima, sorted by position, 2θ = 10–80°:
- d = 3.067 Å, rel. 22, hkl 2 1 -1
- d = 2.771 Å, rel. 82, hkl 4 0 1
- d = 2.722 Å, rel. 100, hkl 4 0 -4
- d = 2.707 Å, rel. 90, hkl 0 0 5
- d = 2.620 Å, rel. 33, hkl 2 1 2
- d = 1.474 Å, rel. 38, hkl 0 2 5

a = 12.7431 Å, b = 3.5098 Å, c = 14.2626 Å
α = 90.00°, β = 108.33°, γ = 90.00°
Space group P2_1/m (No. 11)
Asymmetric unit:
Ho1 0.0093 0.2500 0.3972
Ho2 0.3774 0.2500 0.9964
Ho3 0.4681 0.2500 0.5925
Er1 0.1377 0.7500 0.0223
Er2 0.1444 0.2500 0.8077
Er3 0.2184 0.2500 0.5992
Er4 0.2534 0.7500 0.3946
Er5 0.3356 0.2500 0.2167
Er6 0.3852 0.7500 0.7889
In1 0.0775 0.2500 0.1962

***

Nd6GeP2Br3: calculated X-ray powder pattern (Cu Kα X-rays), based on a crystal structure in Alexandria, relaxed with GGA-PBE.

Largest 6 diffraction maxima, sorted by position, 2θ = 10–80°:
- d = 3.462 Å, rel. 21, hkl 3 1 0
- d = 3.040 Å, rel. 100, hkl 1 1 -2
- d = 2.808 Å, rel. 15, hkl 5 1 -1
- d = 2.196 Å, rel. 29, hkl 2 0 -4
- d = 2.107 Å, rel. 26, hkl 5 1 2
- d = 2.102 Å, rel. 13, hkl 0 2 0

a = 19.0636 Å, b = 4.2049 Å, c = 8.8024 Å
α = 90.00°, β = 106.72°, γ = 90.00°
Space group C2/m (No. 12)
Asymmetric unit:
Nd1 0.0126 0.0000 0.2324
Nd2 0.1589 0.5000 0.1127
Nd3 0.1775 0.5000 0.5552
Ge1 0.0000 0.5000 0.0000
P1 0.1679 0.0000 0.3342
Br1 0.0000 0.5000 0.5000
Br2 0.1654 0.0000 0.8317

***

Zr3Zn4Cu4: calculated X-ray powder pattern (Cu Kα X-rays), based on a crystal structure in Alexandria, relaxed with GGA-PBE.

Largest 6 diffraction maxima, sorted by position, 2θ = 10–80°:
- d = 2.509 Å, rel. 21, hkl 1 2 1
- d = 2.355 Å, rel. 40, hkl 0 2 1
- d = 2.321 Å, rel. 79, hkl 1 1 3
- d = 2.260 Å, rel. 33, hkl -1 1 2
- d = 2.179 Å, rel. 57, hkl 2 1 0
- d = 2.139 Å, rel. 100, hkl 1 2 -2

a = 4.3576 Å, b = 5.2785 Å, c = 8.4149 Å
α = 85.97°, β = 89.94°, γ = 65.75°
Space group P-1 (No. 2)
Asymmetric unit:
Zr1 0.0000 0.0000 0.0000
Zr2 0.1852 0.6291 0.7153
Zn1 0.1208 0.7594 0.3452
Zn2 0.3095 0.3812 0.0400
Cu1 0.3728 0.2540 0.4820
Cu2 0.4810 0.0364 0.7708